No. 1
Structure and theoretical XRD peak list of Zr2TeAu (a GGA-PBE-relaxed structure; Cu Kα).
Neutral-atom scattering factors, no anomalous dispersion.

Main lines, in order of rising 2θ (2θ = 10–90°):
(hkl), 2θ/deg, d/Å, I/Imax
1 1 0, 35.2, 2.547, 100
0 1 2, 36.7, 2.451, 90
1 0 2, 36.9, 2.435, 88
0 2 0, 50.3, 1.814, 18
2 0 0, 51.1, 1.788, 17
0 0 4, 55.2, 1.663, 14
1 2 2, 64.0, 1.455, 35
2 1 2, 64.5, 1.445, 34
1 1 4, 67.2, 1.392, 30
2 2 0, 74.5, 1.274, 11

abc: 3.5768 3.6279 6.6507
angles: 90.00 90.00 90.00
Space group Pmmm (No. 47)
Unique sites:
1 Zr 0.0000 0.0000 0.2472 (multiplicity 2)
2 Te 0.5000 0.5000 0.5000 (multiplicity 1)
3 Au 0.5000 0.5000 0.0000 (multiplicity 1)



No. 2
Structure and theoretical XRD peak list of Ba2Al3Zn4 (a GGA-PBE-relaxed structure; Cu Kα).
Neutral-atom scattering factors, no anomalous dispersion.

Main lines, in order of rising 2θ (2θ = 10–90°):
(hkl), 2θ/deg, d/Å, I/Imax
1 1 1, 19.2, 4.613, 20
1 1 2, 26.6, 3.355, 20
1 3 2, 30.5, 2.930, 50
1 5 1, 32.3, 2.774, 100
0 6 1, 33.3, 2.688, 24
0 2 3, 33.5, 2.678, 51
2 2 1, 34.3, 2.616, 51
2 0 2, 37.5, 2.397, 57
1 7 2, 45.8, 1.981, 21
3 5 1, 55.6, 1.652, 21

abc: 5.8151 17.0066 8.4658
angles: 90.00 90.00 90.00
Space group Cmce (No. 64)
Unique sites:
1 Ba 0.0000 0.1082 0.1032 (multiplicity 8)
2 Al 0.0000 0.0000 0.5000 (multiplicity 4)
3 Al 0.2500 0.2153 0.7500 (multiplicity 8)
4 Zn 0.0000 0.1961 0.4816 (multiplicity 8)
5 Zn 0.2500 0.0617 0.7500 (multiplicity 8)



No. 3
Structure and theoretical XRD peak list of Pm4Ge3Br (a GGA-PBE-relaxed structure; Cu Kα).
Neutral-atom scattering factors, no anomalous dispersion.

Main lines, in order of rising 2θ (2θ = 10–90°):
(hkl), 2θ/deg, d/Å, I/Imax
1 1 1, 25.7, 3.472, 19
2 0 0, 29.7, 3.006, 100
2 2 0, 42.5, 2.126, 75
3 1 1, 50.3, 1.813, 9
2 2 2, 52.7, 1.736, 27
4 0 0, 61.7, 1.503, 12
3 3 1, 68.0, 1.379, 4
4 2 0, 70.0, 1.345, 34
4 2 2, 77.8, 1.227, 25
5 1 1, 83.5, 1.157, 3

abc: 6.0129 6.0129 6.0129
angles: 90.00 90.00 90.00
Space group Pm-3m (No. 221)
Unique sites:
1 Pm 0.0000 0.0000 0.0000 (multiplicity 1)
2 Pm 0.0000 0.5000 0.5000 (multiplicity 3)
3 Ge 0.0000 0.0000 0.5000 (multiplicity 3)
4 Br 0.5000 0.5000 0.5000 (multiplicity 1)



No. 4
Structure and theoretical XRD peak list of Sb2Pd13 (a GGA-PBE-relaxed structure; Cu Kα).
Neutral-atom scattering factors, no anomalous dispersion.

Main lines, in order of rising 2θ (2θ = 10–90°):
(hkl), 2θ/deg, d/Å, I/Imax
-2 1 1, 38.8, 2.324, 100
2 2 1, 39.0, 2.310, 51
1 -2 1, 39.3, 2.290, 49
0 3 2, 44.5, 2.035, 34
1 1 -2, 44.7, 2.028, 33
3 0 2, 46.7, 1.947, 30
1 4 0, 65.5, 1.425, 11
4 1 0, 66.3, 1.409, 10
3 0 -3, 77.9, 1.226, 11
5 2 3, 81.2, 1.185, 11

abc: 6.1955 6.4039 6.9767
angles: 67.50 70.53 83.92
Space group P-1 (No. 2)
Unique sites:
1 Sb 0.1548 0.4619 0.2694 (multiplicity 2)
2 Pd 0.0000 0.0000 0.5000 (multiplicity 1)
3 Pd 0.0671 0.7393 0.8986 (multiplicity 2)
4 Pd 0.1921 0.2144 0.6860 (multiplicity 2)
5 Pd 0.2668 0.9367 0.0948 (multiplicity 2)
6 Pd 0.3260 0.6676 0.4981 (multiplicity 2)
7 Pd 0.4014 0.3977 0.8902 (multiplicity 2)
8 Pd 0.4699 0.1286 0.2991 (multiplicity 2)